Computed powder diffraction line list
Compound: YMoW2O8
Radiation: copper Kα
Structure: a DFT-relaxed cell (PBE+U, the Materials Project)
Intensities are scaled so that the largest is 100.

Crystal structure
Unit cell a=5.195 b=5.980 c=6.415 alpha=62.92 beta=70.27 gamma=88.18
Sites, in units of the cell vectors:
Y (0.000, 0.000, 0.000)
Mo (0.452, 0.548, 0.018)
W (0.190, 0.737, 0.517)
W (0.703, 0.399, 0.505)
O (0.092, 0.584, 0.301)
O (0.180, 0.048, 0.265)
O (0.221, 0.795, 0.788)
O (0.311, 0.365, 0.698)
O (0.611, 0.762, 0.326)
O (0.681, 0.322, 0.266)
O (0.762, 0.099, 0.737)
O (0.805, 0.557, 0.717)

Peak list (8 most intense, 10 to 80 degrees two-theta, low angle first)
d/Å	Rel. int.
5.322	30
5.268	34
3.330	68
3.208	59
3.045	100
2.661	27
2.584	32
1.951	26

Computed powder diffraction line list
Compound: ZrMoWO8
Radiation: copper Kα
Structure: a DFT-relaxed cell (PBE+U, the Materials Project)
Intensities are scaled so that the largest is 100.

Crystal structure
Unit cell a=8.396 b=8.396 c=8.396 alpha=72.74 beta=72.74 gamma=72.74
Sites, in units of the cell vectors:
Zr (0.000, 0.000, 0.000)
Zr (0.292, 0.292, 0.292)
Zr (0.700, 0.700, 0.700)
Mo (0.257, 0.570, 0.859)
Mo (0.570, 0.859, 0.257)
Mo (0.859, 0.257, 0.570)
W (0.135, 0.732, 0.431)
W (0.431, 0.135, 0.732)
W (0.732, 0.431, 0.135)
O (0.065, 0.210, 0.419)
O (0.080, 0.876, 0.230)
O (0.115, 0.766, 0.913)
O (0.184, 0.553, 0.686)
O (0.195, 0.527, 0.368)
O (0.210, 0.419, 0.065)
O (0.230, 0.080, 0.876)
O (0.305, 0.811, 0.445)
O (0.368, 0.195, 0.527)
O (0.419, 0.065, 0.210)
O (0.445, 0.305, 0.811)
O (0.462, 0.626, 0.801)
O (0.527, 0.368, 0.195)
O (0.553, 0.686, 0.184)
O (0.578, 0.924, 0.784)
O (0.626, 0.801, 0.462)
O (0.686, 0.184, 0.553)
O (0.766, 0.913, 0.115)
O (0.784, 0.578, 0.924)
O (0.801, 0.462, 0.626)
O (0.811, 0.445, 0.305)
O (0.876, 0.230, 0.080)
O (0.913, 0.115, 0.766)
O (0.924, 0.784, 0.578)

Peak list (8 most intense, 10 to 80 degrees two-theta, low angle first)
d/Å	Rel. int.
4.979	7
3.862	100
2.875	27
2.606	19
2.306	8
1.932	12
1.799	14
1.664	8

Computed powder diffraction line list
Compound: ZrMoWO8
Radiation: copper Kα
Structure: a DFT-relaxed cell (PBE+U, the Materials Project)
Intensities are scaled so that the largest is 100.

Crystal structure
Unit cell a=5.962 b=5.962 c=6.473 alpha=90.00 beta=90.00 gamma=120.00
Sites, in units of the cell vectors:
Zr (0.000, 0.000, 0.000)
Mo (0.333, 0.667, 0.279)
W (0.667, 0.333, 0.716)
O (0.168, 0.335, 0.184)
O (0.168, 0.832, 0.184)
O (0.332, 0.166, 0.812)
O (0.333, 0.667, 0.546)
O (0.665, 0.832, 0.184)
O (0.667, 0.333, 0.445)
O (0.834, 0.166, 0.812)
O (0.834, 0.668, 0.812)

Peak list (8 most intense, 10 to 80 degrees two-theta, low angle first)
d/Å	Rel. int.
4.036	100
2.981	36
2.742	19
2.398	11
2.018	14
1.991	9
1.868	23
1.671	9

Computed powder diffraction line list
Compound: Y2Mo6O21
Radiation: copper Kα
Structure: a DFT-relaxed cell (PBE+U, the Materials Project)
Intensities are scaled so that the largest is 100.

Crystal structure
Unit cell a=7.397 b=7.397 c=18.203 alpha=90.73 beta=90.73 gamma=59.74
Sites, in units of the cell vectors:
Y (0.141, 0.141, 0.169)
Y (0.326, 0.326, 0.343)
Y (0.674, 0.674, 0.657)
Y (0.859, 0.859, 0.831)
Mo (0.000, 0.000, 0.500)
Mo (0.000, 0.500, 0.500)
Mo (0.158, 0.158, 0.669)
Mo (0.162, 0.654, 0.159)
Mo (0.342, 0.342, 0.826)
Mo (0.346, 0.838, 0.841)
Mo (0.500, 0.000, 0.500)
Mo (0.500, 0.500, 0.000)
Mo (0.654, 0.162, 0.159)
Mo (0.658, 0.658, 0.174)
Mo (0.838, 0.346, 0.841)
Mo (0.842, 0.842, 0.331)
O (0.038, 0.416, 0.601)
O (0.040, 0.423, 0.850)
O (0.045, 0.045, 0.844)
O (0.046, 0.046, 0.602)
O (0.073, 0.714, 0.518)
O (0.077, 0.694, 0.275)
O (0.173, 0.173, 0.057)
O (0.195, 0.195, 0.277)
O (0.236, 0.649, 0.815)
O (0.246, 0.614, 0.065)
O (0.286, 0.927, 0.482)
O (0.290, 0.290, 0.474)
O (0.293, 0.293, 0.731)
O (0.306, 0.923, 0.725)
O (0.351, 0.764, 0.185)
O (0.379, 0.379, 0.195)
O (0.386, 0.754, 0.935)
O (0.388, 0.388, 0.932)
O (0.416, 0.038, 0.601)
O (0.423, 0.040, 0.850)
O (0.489, 0.489, 0.367)
O (0.511, 0.511, 0.633)
O (0.577, 0.960, 0.150)
O (0.584, 0.962, 0.399)
O (0.612, 0.612, 0.068)
O (0.614, 0.246, 0.065)
O (0.621, 0.621, 0.805)
O (0.649, 0.236, 0.815)
O (0.694, 0.077, 0.275)
O (0.707, 0.707, 0.269)
O (0.710, 0.710, 0.526)
O (0.714, 0.073, 0.518)
O (0.754, 0.386, 0.935)
O (0.764, 0.351, 0.185)
O (0.805, 0.805, 0.723)
O (0.827, 0.827, 0.943)
O (0.923, 0.306, 0.725)
O (0.927, 0.286, 0.482)
O (0.954, 0.954, 0.398)
O (0.955, 0.955, 0.156)
O (0.960, 0.577, 0.150)
O (0.962, 0.584, 0.399)

Peak list (8 most intense, 10 to 80 degrees two-theta, low angle first)
d/Å	Rel. int.
6.060	82
6.021	67
3.147	49
3.034	47
3.021	100
3.010	48
2.606	30
1.842	30

Computed powder diffraction line list
Compound: Y6MoO12
Radiation: copper Kα
Structure: a DFT-relaxed cell (PBE+U, the Materials Project)
Intensities are scaled so that the largest is 100.

Crystal structure
Unit cell a=6.400 b=6.473 c=10.303 alpha=83.00 beta=77.29 gamma=60.88
Sites, in units of the cell vectors:
Y (0.049, 0.149, 0.358)
Y (0.262, 0.387, 0.081)
Y (0.264, 0.129, 0.715)
Y (0.736, 0.871, 0.285)
Y (0.738, 0.613, 0.919)
Y (0.951, 0.851, 0.642)
Mo (0.000, 0.000, 0.000)
O (0.010, 0.994, 0.813)
O (0.050, 0.504, 0.727)
O (0.117, 0.238, 0.959)
O (0.194, 0.023, 0.542)
O (0.327, 0.737, 0.983)
O (0.390, 0.089, 0.225)
O (0.610, 0.911, 0.775)
O (0.673, 0.263, 0.017)
O (0.806, 0.977, 0.458)
O (0.883, 0.762, 0.041)
O (0.950, 0.496, 0.273)
O (0.990, 0.006, 0.187)

Peak list (8 most intense, 10 to 80 degrees two-theta, low angle first)
d/Å	Rel. int.
5.654	61
5.494	80
4.123	100
3.350	36
3.245	57
2.960	46
2.950	40
2.650	36

Computed powder diffraction line list
Compound: YMoO3
Radiation: copper Kα
Structure: a DFT-relaxed cell (PBE+U, the Materials Project)
Intensities are scaled so that the largest is 100.

Crystal structure
Unit cell a=5.863 b=8.051 c=5.519 alpha=90.00 beta=90.00 gamma=90.00
Sites, in units of the cell vectors:
Y (0.067, 0.250, 0.021)
Y (0.433, 0.750, 0.521)
Y (0.567, 0.250, 0.479)
Y (0.933, 0.750, 0.979)
Mo (0.000, 0.000, 0.500)
Mo (0.000, 0.500, 0.500)
Mo (0.500, 0.000, 0.000)
Mo (0.500, 0.500, 0.000)
O (0.064, 0.750, 0.362)
O (0.188, 0.571, 0.818)
O (0.188, 0.929, 0.818)
O (0.312, 0.071, 0.318)
O (0.312, 0.429, 0.318)
O (0.436, 0.250, 0.862)
O (0.564, 0.750, 0.138)
O (0.688, 0.571, 0.682)
O (0.688, 0.929, 0.682)
O (0.812, 0.071, 0.182)
O (0.812, 0.429, 0.182)
O (0.936, 0.250, 0.638)

Peak list (8 most intense, 10 to 80 degrees two-theta, low angle first)
d/Å	Rel. int.
2.932	21
2.844	100
2.759	25
2.011	31
1.675	12
1.659	10
1.626	11
1.609	25

Computed powder diffraction line list
Compound: YMoO3
Radiation: copper Kα
Structure: a DFT-relaxed cell (PBE+U, the Materials Project)
Intensities are scaled so that the largest is 100.

Crystal structure
Unit cell a=6.291 b=6.291 c=12.517 alpha=90.00 beta=90.00 gamma=120.00
Sites, in units of the cell vectors:
Y (0.000, 0.000, 0.000)
Y (0.000, 0.000, 0.500)
Y (0.333, 0.667, 0.465)
Y (0.333, 0.667, 0.965)
Y (0.667, 0.333, 0.465)
Y (0.667, 0.333, 0.965)
Mo (0.000, 0.332, 0.230)
Mo (0.000, 0.668, 0.730)
Mo (0.332, 0.000, 0.230)
Mo (0.332, 0.332, 0.730)
Mo (0.668, 0.000, 0.730)
Mo (0.668, 0.668, 0.230)
O (0.000, 0.000, 0.194)
O (0.000, 0.000, 0.694)
O (0.000, 0.307, 0.401)
O (0.000, 0.360, 0.062)
O (0.000, 0.640, 0.562)
O (0.000, 0.693, 0.901)
O (0.307, 0.000, 0.401)
O (0.307, 0.307, 0.901)
O (0.333, 0.667, 0.260)
O (0.333, 0.667, 0.760)
O (0.360, 0.000, 0.062)
O (0.360, 0.360, 0.562)
O (0.640, 0.000, 0.562)
O (0.640, 0.640, 0.062)
O (0.667, 0.333, 0.260)
O (0.667, 0.333, 0.760)
O (0.693, 0.000, 0.901)
O (0.693, 0.693, 0.401)

Peak list (8 most intense, 10 to 80 degrees two-theta, low angle first)
d/Å	Rel. int.
3.129	55
3.050	96
2.810	100
2.512	18
1.959	28
1.816	55
1.739	31
1.571	42